[1]
NdPu2CrC4: simulated powder diffraction line list (Cu Kα, 1.54184 Å), based on a DFT-relaxed cell (PBE, Alexandria).

Unit cell a=6.036 b=6.036 c=11.943 alpha=90.00 beta=90.00 gamma=145.89
Fractional coordinates of all 16 atoms:
Nd: 0.106 0.894 0.750
Nd: 0.894 0.106 0.250
Pu: 0.370 0.630 0.544
Pu: 0.370 0.630 0.956
Pu: 0.630 0.370 0.044
Pu: 0.630 0.370 0.456
Cr: 0.164 0.836 0.250
Cr: 0.836 0.164 0.750
C: 0.000 0.000 0.000
C: 0.000 0.000 0.500
C: 0.259 0.741 0.128
C: 0.259 0.741 0.372
C: 0.412 0.588 0.750
C: 0.588 0.412 0.250
C: 0.741 0.259 0.628
C: 0.741 0.259 0.872

Largest 8 diffraction maxima, in order of rising 2θ, 2θ from 10° to 90°:
Position (°2θ), I/Imax
14.84, 31.2
27.21, 77.7
29.93, 27.6
30.35, 100.0
30.99, 54.7
37.67, 67.5
46.53, 32.7
51.93, 26.1

[2]
LiPmIrO4: simulated powder diffraction line list (Cu Kα, 1.54184 Å), based on a DFT-relaxed cell (PBE, Alexandria).

Unit cell a=6.539 b=6.539 c=6.539 alpha=120.92 beta=112.16 gamma=96.26
Fractional coordinates of all 14 atoms:
Li: 0.309 0.059 0.250
Li: 0.691 0.941 0.750
Pm: 0.000 0.500 0.500
Pm: 0.500 0.500 0.000
Ir: 0.000 0.000 0.500
Ir: 0.000 0.500 0.000
O: 0.161 0.237 0.924
O: 0.187 0.763 0.424
O: 0.236 0.257 0.521
O: 0.236 0.715 0.979
O: 0.764 0.285 0.021
O: 0.764 0.743 0.479
O: 0.813 0.237 0.576
O: 0.839 0.763 0.076

Largest 8 diffraction maxima, in order of rising 2θ, 2θ from 10° to 90°:
Position (°2θ), I/Imax
15.83, 100.0
17.10, 41.3
29.94, 21.7
32.00, 60.6
34.59, 26.4
37.22, 41.8
41.38, 16.8
56.86, 23.9